# 1
Ac4Mg5Ga6: calculated X-ray powder pattern (a wavelength of 1.5418 Å), based on a cell relaxed with PBE.
Intensities are scaled so that the largest is 100.

Largest 10 diffraction maxima, by angle, 2θ from 10° to 80°:
2θ = 11.38°, rel. 23; 2θ = 17.13°, rel. 23; 2θ = 19.14°, rel. 46; 2θ = 23.60°, rel. 28; 2θ = 28.27°, rel. 68; 2θ = 29.87°, rel. 21; 2θ = 30.00°, rel. 67; 2θ = 32.72°, rel. 100; 2θ = 34.62°, rel. 20; 2θ = 37.94°, rel. 49

Structure:
Unit cell a=11.2348 b=11.2348 c=15.5508 alpha=90.00 beta=90.00 gamma=155.62
Fractional coordinates of all 30 atoms:
1 Ac 0.0368 0.9632 0.5000
2 Ac 0.0475 0.9525 0.7709
3 Ac 0.1480 0.8520 0.2820
4 Ac 0.1840 0.8160 0.9323
5 Ac 0.8160 0.1840 0.4323
6 Ac 0.8520 0.1480 0.7820
7 Ac 0.9525 0.0475 0.2709
8 Ac 0.9632 0.0368 0.0000
9 Mg 0.1689 0.8311 0.6225
10 Mg 0.3171 0.6829 0.2591
11 Mg 0.3183 0.6817 0.6013
12 Mg 0.3450 0.6550 0.9681
13 Mg 0.4588 0.5412 0.6545
14 Mg 0.5412 0.4588 0.1545
15 Mg 0.6550 0.3450 0.4681
16 Mg 0.6817 0.3183 0.1013
17 Mg 0.6829 0.3171 0.7591
18 Mg 0.8311 0.1689 0.1225
19 Ga 0.0943 0.9057 0.0898
20 Ga 0.2235 0.7765 0.4624
21 Ga 0.2534 0.7466 0.7568
22 Ga 0.4113 0.5887 0.1300
23 Ga 0.4279 0.5721 0.4406
24 Ga 0.4522 0.5478 0.8505
25 Ga 0.5478 0.4522 0.3505
26 Ga 0.5721 0.4279 0.9406
27 Ga 0.5887 0.4113 0.6300
28 Ga 0.7466 0.2534 0.2568
29 Ga 0.7765 0.2235 0.9624
30 Ga 0.9057 0.0943 0.5898

# 2
AcMgGaPd3: calculated X-ray powder pattern (a wavelength of 1.5418 Å), based on a cell relaxed with PBE.
Intensities are scaled so that the largest is 100.

Largest 10 diffraction maxima, by angle, 2θ from 10° to 80°:
2θ = 14.60°, rel. 35; 2θ = 25.77°, rel. 26; 2θ = 29.00°, rel. 33; 2θ = 29.45°, rel. 100; 2θ = 32.06°, rel. 51; 2θ = 33.35°, rel. 87; 2θ = 40.04°, rel. 97; 2θ = 41.58°, rel. 51; 2θ = 53.16°, rel. 23; 2θ = 70.70°, rel. 26

Structure:
Unit cell a=7.2095 b=7.2095 c=5.9360 alpha=90.00 beta=90.00 gamma=122.70
Fractional coordinates of all 12 atoms:
1 Ac 0.2050 0.7950 0.7500
2 Ac 0.7950 0.2050 0.2500
3 Mg 0.4680 0.5320 0.7500
4 Mg 0.5320 0.4680 0.2500
5 Ga 0.1239 0.8761 0.2500
6 Ga 0.8761 0.1239 0.7500
7 Pd 0.2011 0.2011 0.0000
8 Pd 0.2011 0.2011 0.5000
9 Pd 0.3221 0.6779 0.2500
10 Pd 0.6779 0.3221 0.7500
11 Pd 0.7989 0.7989 0.0000
12 Pd 0.7989 0.7989 0.5000

# 3
AcMn2Ga9: calculated X-ray powder pattern (a wavelength of 1.5418 Å), based on a cell relaxed with PBE.
Intensities are scaled so that the largest is 100.

Largest 10 diffraction maxima, by angle, 2θ from 10° to 80°:
2θ = 21.87°, rel. 18; 2θ = 32.18°, rel. 41; 2θ = 33.69°, rel. 39; 2θ = 34.68°, rel. 100; 2θ = 44.59°, rel. 40; 2θ = 45.38°, rel. 31; 2θ = 47.67°, rel. 20; 2θ = 50.92°, rel. 15; 2θ = 59.64°, rel. 15; 2θ = 67.33°, rel. 23

Structure:
Unit cell a=8.1280 b=8.1280 c=3.8152 alpha=90.00 beta=90.00 gamma=120.00
Fractional coordinates of all 12 atoms:
1 Ac 0.0000 0.0000 0.0000
2 Mn 0.3333 0.6667 0.0000
3 Mn 0.6667 0.3333 0.0000
4 Ga 0.0000 0.5000 0.0000
5 Ga 0.2060 0.4120 0.5000
6 Ga 0.2060 0.7940 0.5000
7 Ga 0.4120 0.2060 0.5000
8 Ga 0.5000 0.0000 0.0000
9 Ga 0.5000 0.5000 0.0000
10 Ga 0.5880 0.7940 0.5000
11 Ga 0.7940 0.2060 0.5000
12 Ga 0.7940 0.5880 0.5000

# 4
Ac2MnGa7: calculated X-ray powder pattern (a wavelength of 1.5418 Å), based on a cell relaxed with PBE.
Intensities are scaled so that the largest is 100.

Largest 10 diffraction maxima, by angle, 2θ from 10° to 80°:
2θ = 21.67°, rel. 26; 2θ = 28.57°, rel. 28; 2θ = 31.71°, rel. 79; 2θ = 32.97°, rel. 100; 2θ = 40.84°, rel. 52; 2θ = 46.09°, rel. 34; 2θ = 52.61°, rel. 39; 2θ = 59.13°, rel. 17; 2θ = 63.25°, rel. 26; 2θ = 69.39°, rel. 23

Structure:
Unit cell a=4.4192 b=4.4192 c=11.0005 alpha=90.00 beta=90.00 gamma=90.00
Fractional coordinates of all 10 atoms:
1 Ac 0.0000 0.5000 0.2494
2 Ac 0.5000 0.0000 0.7506
3 Mn 0.0000 0.0000 0.5000
4 Ga 0.0000 0.0000 0.0000
5 Ga 0.0000 0.5000 0.6277
6 Ga 0.0000 0.5000 0.8665
7 Ga 0.5000 0.0000 0.1335
8 Ga 0.5000 0.0000 0.3723
9 Ga 0.5000 0.5000 0.0000
10 Ga 0.5000 0.5000 0.5000

Which formula does entry 3 have?
AcMn2Ga9